Diffraction record for TbPm7Sn4. The powder XRD pattern is simulated, not measured: it uses a PBE-relaxed structure and copper Kα.
Kinematic intensities with the Lorentz-polarization factor, no thermal factor.

Top 10 peaks for 2θ from 15° to 90°, by angle:
2θ 27.81, d = 3.208 Å, I 68, hkl 4 0 -3; 2θ 29.17, d = 3.061 Å, I 72, hkl 1 1 2; 2θ 30.60, d = 2.922 Å, I 100, hkl 0 2 0; 2θ 33.03, d = 2.712 Å, I 28, hkl 2 0 -4; 2θ 33.55, d = 2.671 Å, I 73, hkl 3 1 1; 2θ 35.99, d = 2.496 Å, I 30, hkl 5 1 -3; 2θ 37.30, d = 2.411 Å, I 35, hkl 5 1 -1; 2θ 38.86, d = 2.317 Å, I 25, hkl 1 1 -4; 2θ 41.82, d = 2.160 Å, I 46, hkl 4 2 -3; 2θ 45.63, d = 1.988 Å, I 26, hkl 2 2 -4

Atomic structure:
```
data_TbPm7Sn4
_symmetry_space_group_name_H-M 'C 1 2/m 1'
_symmetry_Int_Tables_number 12
_symmetry_space_group_name_Hall '-C 2y'
_cell_length_a 14.1824
_cell_length_b 5.8437
_cell_length_c 11.1071
_cell_angle_alpha 90.00
_cell_angle_beta 124.88
_cell_angle_gamma 90.00
loop_
_atom_site_label
_atom_site_type_symbol
_atom_site_fract_x
_atom_site_fract_y
_atom_site_fract_z
Tb1 Tb 0.0000 0.0000 0.0000
Pm1 Pm 0.0000 0.5000 0.0000
Pm2 Pm 0.0588 0.0000 0.3723
Pm3 Pm 0.1868 0.5000 0.6142
Pm4 Pm 0.2093 0.0000 0.8875
Sn1 Sn 0.0641 0.5000 0.7649
Sn2 Sn 0.1971 0.5000 0.3274
```

Diffraction record for TbPm2Zn2Sn2. The powder XRD pattern is simulated, not measured: it uses a PBE-relaxed structure and copper Kα.
Kinematic intensities with the Lorentz-polarization factor, no thermal factor.

Top 10 peaks for 2θ from 15° to 90°, by angle:
2θ 22.29, d = 3.989 Å, I 19, hkl 1 0 1; 2θ 31.08, d = 2.877 Å, I 100, hkl 1 0 7; 2θ 33.39, d = 2.683 Å, I 43, hkl 0 1 8; 2θ 38.72, d = 2.325 Å, I 77, hkl 1 1 0; 2θ 50.46, d = 1.809 Å, I 26, hkl 0 2 7; 2θ 52.04, d = 1.757 Å, I 12, hkl 2 0 8; 2θ 62.78, d = 1.480 Å, I 25, hkl 1 1 15; 2θ 65.36, d = 1.428 Å, I 24, hkl 2 1 7; 2θ 66.71, d = 1.402 Å, I 12, hkl 1 2 8; 2θ 70.09, d = 1.343 Å, I 14, hkl 3 0 0

Atomic structure:
```
data_TbPm2Zn2Sn2
_symmetry_space_group_name_H-M 'R -3 m'
_symmetry_Int_Tables_number 166
_symmetry_space_group_name_Hall '-R 3 2"'
_cell_length_a 4.6510
_cell_length_b 4.6510
_cell_length_c 28.7829
_cell_angle_alpha 90.00
_cell_angle_beta 90.00
_cell_angle_gamma 120.00
loop_
_atom_site_label
_atom_site_type_symbol
_atom_site_fract_x
_atom_site_fract_y
_atom_site_fract_z
Tb1 Tb 0.0000 0.0000 0.0000
Pm1 Pm 0.0000 0.0000 0.1297
Zn1 Zn 0.0000 0.0000 0.4148
Sn1 Sn 0.0000 0.0000 0.2703
```